Computed X-ray powder pattern of NdVO4F for Cu Kα, from a DFT-relaxed cell (GGA+U, Alexandria).

```
data_NdVO4F
_chemical_formula_sum 'Nd4 V4 O16 F4'
_cell_length_a 9.754
_cell_length_b 7.414
_cell_length_c 6.635
_cell_angle_alpha 90.00
_cell_angle_beta 98.83
_cell_angle_gamma 90.00
_symmetry_space_group_name_H-M 'C 1 2/m 1'
_symmetry_Int_Tables_number 12
_symmetry_space_group_name_Hall '-C 2y'
loop_
_atom_site_label
_atom_site_type_symbol
_atom_site_fract_x
_atom_site_fract_y
_atom_site_fract_z
Nd1 Nd 0.195 0.000 0.088
V1 V 0.123 0.500 0.287
O1 O 0.058 0.500 0.755
O2 O 0.186 0.321 0.161
O3 O 0.186 0.500 0.548
F1 F 0.020 0.000 0.807
```

Peak list (8 most intense, 2θ from 10° to 80°, by intensity)
d_spacing	intensity	h k l
6.556	1000	0 0 1
3.707	962	0 2 0
3.626	610	2 0 1
2.842	584	3 1 -1
2.984	578	1 1 -2
4.595	530	1 1 -1
4.819	444	2 0 0
1.867	284	5 1 0